For Li4V2P3O12, DFT lattice parameters and positions (GGA+U) gives the theoretical powder diffractogram in this record (Cu Ka).

Main lines, low angle first (15 to 90 degrees two-theta):
(1 0 -1), 19.33 deg, I = 59.8
(1 1 2), 19.48 deg, I = 29.8
(1 -1 1), 23.73 deg, I = 54.7
(1 2 2), 23.98 deg, I = 100.0
(2 0 2), 28.64 deg, I = 47.3
(2 2 0), 28.85 deg, I = 19.7
(1 -1 2), 31.01 deg, I = 35.5
(1 2 3), 31.19 deg, I = 60.7
(0 3 1), 36.59 deg, I = 18.9
(3 0 2), 38.42 deg, I = 20.6

Atomic structure:
```
data_Li4V2P3O12
_symmetry_space_group_name_H-M 'P -1'
_symmetry_Int_Tables_number 2
_symmetry_space_group_name_Hall '-P 1'
_cell_length_a 8.432
_cell_length_b 8.437
_cell_length_c 9.183
_cell_angle_alpha 63.08
_cell_angle_beta 63.10
_cell_angle_gamma 60.87
loop_
_atom_site_label
_atom_site_type_symbol
_atom_site_fract_x
_atom_site_fract_y
_atom_site_fract_z
Li1 Li 0.066 0.228 0.399
Li2 Li 0.211 0.239 0.088
Li3 Li 0.272 0.166 0.641
Li4 Li 0.339 0.579 0.357
V1 V 0.151 0.648 0.061
V2 V 0.350 0.847 0.460
P1 P 0.045 0.962 0.245
P2 P 0.244 0.461 0.743
P3 P 0.457 0.250 0.251
O1 O 0.010 0.117 0.079
O2 O 0.119 0.357 0.768
O3 O 0.143 0.049 0.606
O4 O 0.153 0.759 0.223
O5 O 0.165 0.013 0.295
O6 O 0.188 0.494 0.916
O7 O 0.200 0.650 0.596
O8 O 0.255 0.359 0.218
O9 O 0.393 0.686 0.911
O10 O 0.436 0.301 0.404
O11 O 0.456 0.339 0.696
O12 O 0.497 0.964 0.702
```

For Lu2W3O12, DFT lattice parameters and positions (GGA+U) gives the theoretical powder diffractogram in this record (Cu Ka).

Main lines, low angle first (15 to 90 degrees two-theta):
(0 0 2), 16.70 deg, I = 16.9
(1 1 -2), 18.80 deg, I = 13.9
(2 2 -1), 28.15 deg, I = 100.0
(0 2 3), 29.74 deg, I = 72.8
(0 4 0), 31.50 deg, I = 28.3
(2 0 2), 34.45 deg, I = 17.2
(2 0 -4), 34.64 deg, I = 16.8
(2 4 2), 47.37 deg, I = 22.2
(4 0 -2), 47.56 deg, I = 37.0
(2 6 -1), 54.06 deg, I = 14.6

Atomic structure:
```
data_Lu2W3O12
_symmetry_space_group_name_H-M 'C 1 2/c 1'
_symmetry_Int_Tables_number 15
_symmetry_space_group_name_Hall '-C 2yc'
_cell_length_a 7.640
_cell_length_b 11.360
_cell_length_c 11.265
_cell_angle_alpha 90.00
_cell_angle_beta 109.51
_cell_angle_gamma 90.00
loop_
_atom_site_label
_atom_site_type_symbol
_atom_site_fract_x
_atom_site_fract_y
_atom_site_fract_z
Lu1 Lu 0.165 0.122 0.092
W1 W 0.000 0.132 0.750
W2 W 0.148 0.392 0.550
O1 O 0.048 0.279 0.437
O2 O 0.068 0.461 0.924
O3 O 0.128 0.050 0.462
O4 O 0.133 0.210 0.896
O5 O 0.171 0.039 0.719
O6 O 0.228 0.321 0.705
```

For BaCaMoF7, DFT lattice parameters and positions (GGA+U) gives the theoretical powder diffractogram in this record (Cu Ka).

Main lines, low angle first (15 to 90 degrees two-theta):
(1 2 -1), 23.92 deg, I = 100.0
(1 1 -2), 24.14 deg, I = 47.3
(1 1 2), 24.67 deg, I = 76.1
(0 1 3), 27.39 deg, I = 38.6
(2 0 0), 30.14 deg, I = 24.6
(0 3 3), 36.45 deg, I = 28.5
(1 4 1), 38.09 deg, I = 33.2
(2 1 -3), 40.70 deg, I = 31.9
(3 2 -1), 49.76 deg, I = 43.1
(1 2 5), 50.40 deg, I = 31.4

Atomic structure:
```
data_BaCaMoF7
_symmetry_space_group_name_H-M 'P 1 21/c 1'
_symmetry_Int_Tables_number 14
_symmetry_space_group_name_Hall '-P 2ybc'
_cell_length_a 5.933
_cell_length_b 10.674
_cell_length_c 10.259
_cell_angle_alpha 90.00
_cell_angle_beta 91.35
_cell_angle_gamma 90.00
loop_
_atom_site_label
_atom_site_type_symbol
_atom_site_fract_x
_atom_site_fract_y
_atom_site_fract_z
Ba1 Ba 0.232 0.164 0.499
Ca1 Ca 0.197 0.593 0.320
Mo1 Mo 0.312 0.621 0.691
F1 F 0.020 0.708 0.767
F2 F 0.087 0.539 0.122
F3 F 0.153 0.044 0.125
F4 F 0.211 0.706 0.512
F5 F 0.382 0.077 0.894
F6 F 0.428 0.536 0.864
F7 F 0.489 0.718 0.254
```

For LiV3O3F7, DFT lattice parameters and positions (GGA+U) gives the theoretical powder diffractogram in this record (Cu Ka).

Main lines, low angle first (15 to 90 degrees two-theta):
(0 1 1), 18.02 deg, I = 24.8
(1 1 -1), 22.35 deg, I = 21.5
(0 0 2), 23.48 deg, I = 74.0
(0 2 0), 27.56 deg, I = 100.0
(2 2 1), 27.84 deg, I = 45.5
(0 0 4), 48.03 deg, I = 28.5
(2 -2 1), 48.57 deg, I = 17.7
(2 4 1), 49.07 deg, I = 30.5
(0 2 4), 56.34 deg, I = 14.6
(0 4 0), 56.91 deg, I = 18.4

Atomic structure:
```
data_LiV3O3F7
_symmetry_space_group_name_H-M 'P 1'
_symmetry_Int_Tables_number 1
_symmetry_space_group_name_Hall 'P 1'
_cell_length_a 7.424
_cell_length_b 7.428
_cell_length_c 8.435
_cell_angle_alpha 77.74
_cell_angle_beta 63.94
_cell_angle_gamma 60.64
loop_
_atom_site_label
_atom_site_type_symbol
_atom_site_fract_x
_atom_site_fract_y
_atom_site_fract_z
Li1 Li 0.000 0.000 0.000
Li2 Li 0.234 0.514 0.500
V1 V 0.149 0.013 0.517
V2 V 0.422 0.033 0.999
V3 V 0.433 0.508 0.016
V4 V 0.680 0.034 0.484
V5 V 0.686 0.494 0.500
V6 V 0.939 0.523 0.984
O1 O 0.124 0.582 0.997
O2 O 0.475 0.227 0.001
O3 O 0.579 0.297 0.497
O4 O 0.688 0.448 0.003
O5 O 0.928 0.945 0.498
O6 O 0.934 0.305 0.505
F1 F 0.034 0.008 0.765
F2 F 0.037 0.506 0.739
F3 F 0.114 0.214 0.001
F4 F 0.271 0.521 0.262
F5 F 0.292 0.005 0.253
F6 F 0.314 0.818 0.009
F7 F 0.360 0.708 0.504
F8 F 0.374 0.095 0.502
F9 F 0.521 0.531 0.754
F10 F 0.530 0.005 0.745
F11 F 0.709 0.810 0.988
F12 F 0.722 0.738 0.494
F13 F 0.776 0.520 0.247
F14 F 0.785 0.013 0.241
```

For CaV2Zn2Si2O10, DFT lattice parameters and positions (GGA+U) gives the theoretical powder diffractogram in this record (Cu Ka).

Main lines, low angle first (15 to 90 degrees two-theta):
(1 1 -1), 25.03 deg, I = 72.7
(1 0 -2), 25.80 deg, I = 100.0
(1 0 1), 26.20 deg, I = 90.2
(1 1 0), 28.13 deg, I = 65.4
(-1 1 2), 33.42 deg, I = 46.4
(0 2 0), 34.56 deg, I = 69.7
(1 -2 1), 35.29 deg, I = 34.4
(2 -1 0), 36.12 deg, I = 45.4
(1 1 -3), 37.16 deg, I = 29.4
(2 1 0), 44.83 deg, I = 46.7

Atomic structure:
```
data_CaV2Zn2Si2O10
_symmetry_space_group_name_H-M 'P 1'
_symmetry_Int_Tables_number 1
_symmetry_space_group_name_Hall 'P 1'
_cell_length_a 5.368
_cell_length_b 5.587
_cell_length_c 7.553
_cell_angle_alpha 105.55
_cell_angle_beta 108.56
_cell_angle_gamma 98.96
loop_
_atom_site_label
_atom_site_type_symbol
_atom_site_fract_x
_atom_site_fract_y
_atom_site_fract_z
Ca1 Ca 0.000 0.000 0.000
V1 V 0.267 0.439 0.867
V2 V 0.317 0.446 0.393
Zn1 Zn 0.542 0.087 0.575
Zn2 Zn 0.828 0.550 0.166
Si1 Si 0.610 0.068 0.163
Si2 Si 0.976 0.788 0.594
O1 O 0.039 0.666 0.772
O2 O 0.138 0.459 0.099
O3 O 0.215 0.790 0.501
O4 O 0.406 0.087 0.283
O5 O 0.407 0.390 0.648
O6 O 0.512 0.201 0.989
O7 O 0.607 0.767 0.045
O8 O 0.684 0.636 0.408
O9 O 0.928 0.213 0.296
O10 O 0.936 0.080 0.698
```

For Li2Co3TeO8, DFT lattice parameters and positions (GGA+U) gives the theoretical powder diffractogram in this record (Cu Ka).

Main lines, low angle first (15 to 90 degrees two-theta):
(0 2 1), 19.54 deg, I = 100.0
(1 1 2), 25.16 deg, I = 29.1
(1 1 -3), 32.55 deg, I = 37.8
(2 0 2), 35.43 deg, I = 46.6
(2 2 -1), 36.20 deg, I = 31.0
(2 2 3), 44.97 deg, I = 29.9
(2 4 -2), 50.63 deg, I = 14.1
(1 5 3), 55.11 deg, I = 17.6
(2 2 -5), 59.43 deg, I = 26.0
(4 0 0), 62.72 deg, I = 22.4

Atomic structure:
```
data_Li2Co3TeO8
_symmetry_space_group_name_H-M 'C 1 c 1'
_symmetry_Int_Tables_number 9
_symmetry_space_group_name_Hall 'C -2yc'
_cell_length_a 5.926
_cell_length_b 10.261
_cell_length_c 9.778
_cell_angle_alpha 90.00
_cell_angle_beta 90.10
_cell_angle_gamma 90.00
loop_
_atom_site_label
_atom_site_type_symbol
_atom_site_fract_x
_atom_site_fract_y
_atom_site_fract_z
Li1 Li 0.000 0.000 0.000
Li2 Li 0.497 0.165 0.420
Co1 Co 0.247 0.416 0.234
Co2 Co 0.260 0.093 0.724
Co3 Co 0.490 0.323 0.725
Te1 Te 0.496 0.166 0.000
O1 O 0.003 0.171 0.601
O2 O 0.015 0.338 0.121
O3 O 0.219 0.260 0.365
O4 O 0.245 0.413 0.601
O5 O 0.255 0.085 0.102
O6 O 0.273 0.242 0.867
O7 O 0.496 0.499 0.308
O8 O 0.499 0.019 0.864
```

For Mn2Sb3I3O5, DFT lattice parameters and positions (GGA+U) gives the theoretical powder diffractogram in this record (Cu Ka).

Main lines, low angle first (15 to 90 degrees two-theta):
(1 1 -2), 20.26 deg, I = 37.5
(0 2 -2), 22.83 deg, I = 31.8
(-1 2 1), 22.95 deg, I = 19.7
(2 0 0), 28.85 deg, I = 100.0
(1 -3 0), 29.02 deg, I = 30.5
(0 1 3), 29.70 deg, I = 91.9
(1 -3 1), 30.44 deg, I = 23.9
(1 3 0), 31.00 deg, I = 21.1
(-2 1 3), 34.76 deg, I = 41.4
(1 3 -3), 34.95 deg, I = 24.9

Atomic structure:
```
data_Mn2Sb3I3O5
_symmetry_space_group_name_H-M 'P -1'
_symmetry_Int_Tables_number 2
_symmetry_space_group_name_Hall '-P 1'
_cell_length_a 6.510
_cell_length_b 10.324
_cell_length_c 10.570
_cell_angle_alpha 98.67
_cell_angle_beta 107.46
_cell_angle_gamma 91.50
loop_
_atom_site_label
_atom_site_type_symbol
_atom_site_fract_x
_atom_site_fract_y
_atom_site_fract_z
Mn1 Mn 0.229 0.422 0.002
Mn2 Mn 0.244 0.698 0.262
Sb1 Sb 0.214 0.439 0.671
Sb2 Sb 0.266 0.721 0.925
Sb3 Sb 0.277 0.159 0.774
I1 I 0.181 0.785 0.533
I2 I 0.239 0.413 0.297
I3 I 0.260 0.963 0.184
O1 O 0.094 0.325 0.783
O2 O 0.154 0.622 0.043
O3 O 0.367 0.543 0.861
O4 O 0.413 0.249 0.967
O5 O 0.422 0.289 0.695
```

For BaSm2CoO5, DFT lattice parameters and positions (GGA+U) gives the theoretical powder diffractogram in this record (Cu Ka).

Main lines, low angle first (15 to 90 degrees two-theta):
(0 1 3), 27.17 deg, I = 33.7
(0 2 0), 30.08 deg, I = 31.1
(0 0 4), 30.27 deg, I = 11.2
(1 1 2), 31.70 deg, I = 100.0
(1 2 1), 39.16 deg, I = 13.9
(0 2 4), 43.20 deg, I = 16.5
(1 0 5), 45.14 deg, I = 15.6
(2 0 0), 47.62 deg, I = 14.3
(1 3 2), 54.45 deg, I = 21.9
(1 2 5), 55.19 deg, I = 16.6

Atomic structure:
```
data_BaSm2CoO5
_symmetry_space_group_name_H-M 'I m m m'
_symmetry_Int_Tables_number 71
_symmetry_space_group_name_Hall '-I 2 2'
_cell_length_a 3.819
_cell_length_b 5.942
_cell_length_c 11.809
_cell_angle_alpha 90.00
_cell_angle_beta 90.00
_cell_angle_gamma 90.00
loop_
_atom_site_label
_atom_site_type_symbol
_atom_site_fract_x
_atom_site_fract_y
_atom_site_fract_z
Ba1 Ba 0.000 0.000 0.000
Sm1 Sm 0.000 0.500 0.203
Co1 Co 0.000 0.000 0.500
O1 O 0.000 0.243 0.352
O2 O 0.000 0.500 0.000
```

For MgMn6O8F4, DFT lattice parameters and positions (GGA+U) gives the theoretical powder diffractogram in this record (Cu Ka).

Main lines, low angle first (15 to 90 degrees two-theta):
(-1 1 1), 22.87 deg, I = 100.0
(1 1 -1), 27.87 deg, I = 79.7
(1 -2 2), 34.64 deg, I = 17.5
(1 0 2), 34.99 deg, I = 21.0
(2 -1 1), 35.15 deg, I = 25.1
(0 1 -3), 35.43 deg, I = 50.8
(3 -2 0), 48.78 deg, I = 18.8
(1 0 -4), 49.53 deg, I = 21.5
(1 2 -4), 54.70 deg, I = 19.2
(2 -2 4), 62.08 deg, I = 26.8

Atomic structure:
```
data_MgMn6O8F4
_symmetry_space_group_name_H-M 'P 1'
_symmetry_Int_Tables_number 1
_symmetry_space_group_name_Hall 'P 1'
_cell_length_a 5.785
_cell_length_b 6.007
_cell_length_c 7.698
_cell_angle_alpha 106.64
_cell_angle_beta 97.85
_cell_angle_gamma 114.17
loop_
_atom_site_label
_atom_site_type_symbol
_atom_site_fract_x
_atom_site_fract_y
_atom_site_fract_z
Mg1 Mg 0.000 0.000 0.000
Mn1 Mn 0.308 0.522 0.330
Mn2 Mn 0.344 0.897 0.777
Mn3 Mn 0.622 0.034 0.183
Mn4 Mn 0.672 0.502 0.645
Mn5 Mn 0.965 0.062 0.529
Mn6 Mn 0.974 0.489 0.990
O1 O 0.007 0.167 0.291
O2 O 0.065 0.622 0.262
O3 O 0.257 0.847 0.014
O4 O 0.405 0.626 0.592
O5 O 0.597 0.845 0.350
O6 O 0.714 0.126 0.965
O7 O 0.904 0.368 0.715
O8 O 0.973 0.847 0.699
F1 F 0.267 0.358 0.049
F2 F 0.369 0.170 0.637
F3 F 0.551 0.345 0.345
F4 F 0.710 0.654 0.952
```

For MnCdO3, DFT lattice parameters and positions (GGA+U) gives the theoretical powder diffractogram in this record (Cu Ka).

Main lines, low angle first (15 to 90 degrees two-theta):
(1 0 0), 23.33 deg, I = 8.1
(1 1 0), 33.23 deg, I = 100.0
(1 1 1), 41.00 deg, I = 17.7
(2 0 0), 47.71 deg, I = 34.2
(2 1 0), 53.76 deg, I = 4.3
(2 1 1), 59.38 deg, I = 35.9
(2 2 0), 69.76 deg, I = 19.2
(3 1 0), 79.49 deg, I = 15.1
(3 1 1), 84.23 deg, I = 5.2
(2 2 2), 88.92 deg, I = 6.5

Atomic structure:
```
data_MnCdO3
_symmetry_space_group_name_H-M 'P m -3 m'
_symmetry_Int_Tables_number 221
_symmetry_space_group_name_Hall '-P 4 2 3'
_cell_length_a 3.813
_cell_length_b 3.813
_cell_length_c 3.813
_cell_angle_alpha 90.00
_cell_angle_beta 90.00
_cell_angle_gamma 90.00
loop_
_atom_site_label
_atom_site_type_symbol
_atom_site_fract_x
_atom_site_fract_y
_atom_site_fract_z
Mn1 Mn 0.000 0.000 0.000
Cd1 Cd 0.500 0.500 0.500
O1 O 0.000 0.000 0.500
```